The following is a computed powder diffraction line list of TbPr2Ag3. It was derived from the PBE geometry in Alexandria, using copper Kα.

The 10 most intense peaks (10 to 90 degrees two-theta), in order of rising 2θ:
d/Å	I_rel
2.652	100
2.626	50
1.894	9
1.857	18
1.536	17
1.521	35
1.326	11
1.196	7
1.177	8
1.174	8

Crystal structure
Lattice parameters (Å, degrees): 3.714 3.714 11.365 90.00 90.00 90.00
Space group P4/mmm (No. 123)
Asymmetric unit:
Tb  0.000  0.000  0.000 [1 per cell]
Pr  0.000  0.000  0.329 [2 per cell]
Ag  0.500  0.500  0.153 [2 per cell]
Ag  0.500  0.500  0.500 [1 per cell]